# VFeCoO4
Computed powder XRD pattern, Cu Kα, 1.54184 Å. Input: DFT lattice parameters and positions (PBE+U).

Cell and atoms:
Unit cell a=6.0338 b=6.0618 c=8.6021 alpha=90.00 beta=90.00 gamma=90.00
Space group Imma (No. 74)
Inequivalent atoms, fractional coordinates:
1 V 0.0000 0.2500 0.1305 (multiplicity 4)
2 Fe 0.0000 0.0000 0.5000 (multiplicity 4)
3 Co 0.2500 0.2500 0.7500 (multiplicity 4)
4 O 0.0000 0.0105 0.7369 (multiplicity 8)
5 O 0.2311 0.2500 0.5011 (multiplicity 8)

Principal peaks in the range 10° ≤ 2θ ≤ 90°, low angle first:
d 4.946, intensity 26, hkl 1 0 1
d 3.032, intensity 29, hkl 0 2 0
d 2.591, intensity 51, hkl 0 1 3
d 2.580, intensity 100, hkl 2 1 1
d 2.151, intensity 14, hkl 0 0 4
d 2.138, intensity 28, hkl 2 2 0
d 1.655, intensity 14, hkl 0 1 5
d 1.647, intensity 18, hkl 2 3 1
d 1.645, intensity 14, hkl 3 2 1
d 1.516, intensity 60, hkl 0 4 0